For TaWSe4, a crystal structure in OQMD, relaxed with GGA-PBE gives the simulated XRD peak list in this record (Cu Kα (weighted mean of Kα1 and Kα2)).
Lines closer than 0.1° are merged.

Structure:
a = 11.780 Å, b = 11.780 Å, c = 5.894 Å
α = 90.00°, β = 90.00°, γ = 163.46°
Fractional coordinates of all 6 atoms:
1 Ta 0.000 0.000 0.000
2 W 0.500 0.500 0.513
3 Se 0.071 0.929 0.345
4 Se 0.427 0.573 0.839
5 Se 0.573 0.427 0.839
6 Se 0.929 0.071 0.345

Top 10 peaks for 15° ≤ 2θ ≤ 90°, sorted by position:
d 5.829, 15.20 deg, rel. 67.7
d 2.915, 30.67 deg, rel. 68.2
d 2.748, 32.59 deg, rel. 58.4
d 2.630, 34.09 deg, rel. 38.0
d 2.486, 36.14 deg, rel. 99.2
d 2.348, 38.33 deg, rel. 54.0
d 2.203, 40.96 deg, rel. 100.0
d 2.072, 43.68 deg, rel. 36.9
d 1.943, 46.75 deg, rel. 62.8
d 1.695, 54.11 deg, rel. 67.6